[1]
Starting from the GGA-PBE geometry in Alexandria, the powder diffractogram of Cs3Pa2O8 was computed for λ = 1.5418 Å (Cu Kα).
Kinematic intensities with the Lorentz-polarization factor, no thermal factor.

Structure:
Cell lengths 6.4741, 6.4741, 26.0663 Å; angles 90.00, 90.00, 120.00 degrees
Space group R-3m (No. 166, hexagonal axes)
Symmetry-distinct sites (fractional):
Cs  0.0000  0.0000  0.0000 [3 per cell]
Cs  0.0000  0.0000  0.1933 [6 per cell]
Pa  0.0000  0.0000  0.3929 [6 per cell]
O  0.0000  0.0000  0.3162 [6 per cell]
O  0.0339  0.5169  0.2341 [18 per cell]

Largest 10 diffraction maxima, in order of rising 2θ, 2θ = 10–90°:
(hkl)  2theta  Rel. int.
1 0 4  20.9  15
0 1 5  23.3  100
1 1 0  27.6  76
2 0 5  36.4  36
1 0 10  38.1  29
1 2 5  46.2  30
0 2 10  47.6  13
3 0 0  48.7  16
2 1 10  55.9  20
3 1 5  62.3  14

[2]
Starting from the GGA-PBE geometry in Alexandria, the powder diffractogram of CsPa5O12 was computed for λ = 1.5418 Å (Cu Kα).
Kinematic intensities with the Lorentz-polarization factor, no thermal factor.

Structure:
Cell lengths 6.3655, 7.2741, 7.2781 Å; angles 104.08, 98.42, 90.53 degrees
Space group P-1 (No. 2)
Symmetry-distinct sites (fractional):
Cs  0.0000  0.0000  0.0000 [1 per cell]
Pa  0.2348  0.6030  0.4280 [2 per cell]
Pa  0.2602  0.1340  0.5676 [2 per cell]
Pa  0.5000  0.5000  0.0000 [1 per cell]
O  0.0562  0.3269  0.4031 [2 per cell]
O  0.0715  0.8757  0.3655 [2 per cell]
O  0.2196  0.5527  0.1204 [2 per cell]
O  0.3738  0.2113  0.8689 [2 per cell]
O  0.4131  0.4716  0.6633 [2 per cell]
O  0.4479  0.8593  0.5753 [2 per cell]

Largest 10 diffraction maxima, in order of rising 2θ, 2θ = 10–90°:
(hkl)  2theta  Rel. int.
0 0 1  12.7  100
1 -1 1  21.9  46
0 0 2  25.5  76
1 1 1  26.0  39
1 1 -2  27.6  34
1 -2 0  28.4  49
2 0 -1  29.3  83
1 -2 1  29.5  46
1 2 0  29.6  49
2 0 1  33.0  53

[3]
Starting from the GGA-PBE geometry in Alexandria, the powder diffractogram of Cs3PaO4 was computed for λ = 1.5418 Å (Cu Kα).
Kinematic intensities with the Lorentz-polarization factor, no thermal factor.

Structure:
Cell lengths 7.1517, 7.1517, 8.2680 Å; angles 90.00, 90.00, 90.00 degrees
Space group I4/mmm (No. 139)
Symmetry-distinct sites (fractional):
Cs  0.0000  0.0000  0.0000 [2 per cell]
Cs  0.0000  0.5000  0.2500 [4 per cell]
Pa  0.0000  0.0000  0.5000 [2 per cell]
O  0.2031  0.2031  0.5000 [8 per cell]

Largest 10 diffraction maxima, in order of rising 2θ, 2θ = 10–90°:
(hkl)  2theta  Rel. int.
2 0 0  24.9  53
1 1 2  27.9  100
2 2 0  35.5  30
3 1 2  45.7  48
4 0 0  51.1  25
2 2 4  57.6  27
3 3 2  59.2  13
5 1 2  70.9  22
4 4 0  75.1  14
3 1 6  81.9  18

[4]
Starting from the GGA-PBE geometry in Alexandria, the powder diffractogram of Cs2PaPbO6 was computed for λ = 1.5418 Å (Cu Kα).
Kinematic intensities with the Lorentz-polarization factor, no thermal factor.

Structure:
Cell lengths 8.8847, 8.8847, 8.8847 Å; angles 90.00, 90.00, 90.00 degrees
Space group Fm-3m (No. 225)
Symmetry-distinct sites (fractional):
Cs  0.2500  0.2500  0.2500 [8 per cell]
Pa  0.0000  0.0000  0.0000 [4 per cell]
Pb  0.0000  0.0000  0.5000 [4 per cell]
O  0.0000  0.0000  0.2444 [24 per cell]

Largest 10 diffraction maxima, in order of rising 2θ, 2θ = 10–90°:
(hkl)  2theta  Rel. int.
2 0 0  20.0  11
2 2 0  28.4  100
4 0 0  40.6  28
4 2 0  45.7  6
4 2 2  50.3  43
4 4 0  58.8  18
6 2 0  66.6  19
4 4 4  73.9  6
6 4 2  81.0  23
8 0 0  87.9  3

[5]
Starting from the GGA-PBE geometry in Alexandria, the powder diffractogram of Cs3Pu2PaO9 was computed for λ = 1.5418 Å (Cu Kα).
Kinematic intensities with the Lorentz-polarization factor, no thermal factor.

Structure:
Cell lengths 6.2285, 6.2285, 7.6298 Å; angles 90.00, 90.00, 120.00 degrees
Space group P-3m1 (No. 164)
Symmetry-distinct sites (fractional):
Cs  0.0000  0.0000  0.0000 [1 per cell]
Cs  0.3333  0.6667  0.6664 [2 per cell]
Pu  0.3333  0.6667  0.1635 [2 per cell]
Pa  0.0000  0.0000  0.5000 [1 per cell]
O  0.0000  0.5000  0.0000 [3 per cell]
O  0.1677  0.3353  0.3310 [6 per cell]

Largest 10 diffraction maxima, in order of rising 2θ, 2θ = 10–90°:
(hkl)  2theta  Rel. int.
1 0 1  20.2  13
1 1 0  28.7  100
2 0 2  41.0  27
2 1 1  46.1  7
3 0 0  50.8  43
2 2 0  59.3  18
1 3 1  63.3  3
3 1 2  67.2  19
0 4 2  74.6  6
4 1 0  81.8  22

[6]
Starting from the GGA-PBE geometry in Alexandria, the powder diffractogram of CsRb2Pa2O7 was computed for λ = 1.5418 Å (Cu Kα).
Kinematic intensities with the Lorentz-polarization factor, no thermal factor.

Structure:
Cell lengths 4.5502, 4.5593, 22.6350 Å; angles 90.00, 90.00, 90.00 degrees
Space group Immm (No. 71)
Symmetry-distinct sites (fractional):
Cs  0.0000  0.0000  0.0000 [2 per cell]
Rb  0.0000  0.5000  0.2507 [4 per cell]
Pa  0.0000  0.0000  0.4023 [4 per cell]
O  0.0000  0.0000  0.3130 [4 per cell]
O  0.0000  0.0000  0.5000 [2 per cell]
O  0.0000  0.5000  0.0982 [4 per cell]
O  0.0000  0.5000  0.4017 [4 per cell]

Largest 10 diffraction maxima, in order of rising 2θ, 2θ = 10–90°:
(hkl)  2theta  Rel. int.
1 0 1  19.9  74
1 0 3  22.8  53
0 0 6  23.6  34
0 1 5  27.7  100
1 0 5  27.8  63
1 1 2  28.8  76
1 1 4  32.0  33
2 0 0  39.6  68
2 1 5  49.0  57
1 1 10  49.2  51

[7]
Starting from the GGA-PBE geometry in Alexandria, the powder diffractogram of CsRb2PaO4 was computed for λ = 1.5418 Å (Cu Kα).
Kinematic intensities with the Lorentz-polarization factor, no thermal factor.

Structure:
Cell lengths 13.1679, 3.7036, 7.3921 Å; angles 90.00, 100.44, 90.00 degrees
Space group C2/m (No. 12)
Symmetry-distinct sites (fractional):
Cs  0.0000  0.0000  0.0000 [2 per cell]
Rb  0.2492  0.0000  0.7303 [4 per cell]
Pa  0.0000  0.5000  0.5000 [2 per cell]
O  0.0890  0.0000  0.4166 [4 per cell]
O  0.0970  0.5000  0.7533 [4 per cell]

Largest 10 diffraction maxima, in order of rising 2θ, 2θ = 10–90°:
(hkl)  2theta  Rel. int.
0 0 1  12.2  32
2 0 0  13.7  51
2 0 -2  25.8  66
4 0 0  27.6  54
1 1 1  28.5  95
2 0 2  30.3  55
3 1 -1  32.8  100
1 1 -3  44.1  35
5 1 1  46.3  35
6 0 2  53.1  22

[8]
Starting from the GGA-PBE geometry in Alexandria, the powder diffractogram of CsPaSb2O7 was computed for λ = 1.5418 Å (Cu Kα).
Kinematic intensities with the Lorentz-polarization factor, no thermal factor.

Structure:
Cell lengths 3.9948, 3.9948, 11.5696 Å; angles 90.00, 90.00, 90.00 degrees
Space group P4/mmm (No. 123)
Symmetry-distinct sites (fractional):
Cs  0.0000  0.0000  0.0000 [1 per cell]
Pa  0.0000  0.0000  0.5000 [1 per cell]
Sb  0.5000  0.5000  0.3053 [2 per cell]
O  0.0000  0.5000  0.3594 [4 per cell]
O  0.5000  0.5000  0.1431 [2 per cell]
O  0.5000  0.5000  0.5000 [1 per cell]

Largest 10 diffraction maxima, in order of rising 2θ, 2θ = 10–90°:
(hkl)  2theta  Rel. int.
0 0 2  15.3  9
1 0 2  27.1  100
1 1 0  31.7  40
1 0 3  32.3  15
1 0 4  38.4  15
1 1 4  44.9  18
2 0 0  45.4  22
2 1 2  53.7  31
1 1 6  57.9  10
2 1 8  86.6  9

[9]
Starting from the GGA-PBE geometry in Alexandria, the powder diffractogram of Cs2PaSiO6 was computed for λ = 1.5418 Å (Cu Kα).
Kinematic intensities with the Lorentz-polarization factor, no thermal factor.

Structure:
Cell lengths 6.7102, 6.7102, 5.4742 Å; angles 90.00, 90.00, 120.00 degrees
Space group P-3m1 (No. 164)
Symmetry-distinct sites (fractional):
Cs  0.3333  0.6667  0.3635 [2 per cell]
Pa  0.0000  0.0000  0.0000 [1 per cell]
Si  0.0000  0.0000  0.5000 [1 per cell]
O  0.1237  0.2474  0.7059 [6 per cell]

Largest 10 diffraction maxima, in order of rising 2θ, 2θ = 10–90°:
(hkl)  2theta  Rel. int.
1 0 0  15.2  40
0 1 1  22.3  100
1 1 0  26.6  87
2 0 1  35.0  47
1 0 2  36.3  31
1 2 1  44.4  35
0 2 2  45.5  25
3 0 0  46.9  16
2 1 2  53.5  26
3 1 1  59.8  18

[10]
Starting from the GGA-PBE geometry in Alexandria, the powder diffractogram of CsPaSn2O7 was computed for λ = 1.5418 Å (Cu Kα).
Kinematic intensities with the Lorentz-polarization factor, no thermal factor.

Structure:
Cell lengths 3.8908, 3.8908, 11.8729 Å; angles 90.00, 90.00, 90.00 degrees
Space group P4/mmm (No. 123)
Symmetry-distinct sites (fractional):
Cs  0.0000  0.0000  0.0000 [1 per cell]
Pa  0.0000  0.0000  0.5000 [1 per cell]
Sn  0.5000  0.5000  0.3022 [2 per cell]
O  0.0000  0.5000  0.3710 [4 per cell]
O  0.5000  0.5000  0.1428 [2 per cell]
O  0.5000  0.5000  0.5000 [1 per cell]

Largest 10 diffraction maxima, in order of rising 2θ, 2θ = 10–90°:
(hkl)  2theta  Rel. int.
1 0 2  27.4  100
1 0 3  32.3  14
1 1 0  32.5  38
1 0 4  38.1  14
1 1 4  44.9  20
2 0 0  46.7  20
1 1 5  50.8  10
2 1 2  55.0  30
1 0 8  67.5  15
2 1 8  86.1  13

[11]
Starting from the GGA-PBE geometry in Alexandria, the powder diffractogram of Cs2PaTc3O12 was computed for λ = 1.5418 Å (Cu Kα).
Kinematic intensities with the Lorentz-polarization factor, no thermal factor.

Structure:
Cell lengths 7.3436, 7.3436, 19.1159 Å; angles 90.00, 90.00, 120.00 degrees
Space group R-3m (No. 166, hexagonal axes)
Symmetry-distinct sites (fractional):
Cs  0.0000  0.0000  0.1187 [6 per cell]
Pa  0.0000  0.0000  0.5000 [3 per cell]
Tc  0.0000  0.5000  0.0000 [9 per cell]
O  0.0553  0.5276  0.1005 [18 per cell]
O  0.0869  0.5434  0.3446 [18 per cell]

Largest 10 diffraction maxima, in order of rising 2θ, 2θ = 10–90°:
(hkl)  2theta  Rel. int.
1 0 1  14.7  30
1 1 0  24.2  30
0 1 5  27.2  56
1 1 3  28.0  100
0 2 1  28.5  15
2 0 2  29.6  46
1 2 5  44.5  22
3 0 3  45.1  27
2 0 8  47.6  27
2 2 0  49.7  29

[12]
Starting from the GGA-PBE geometry in Alexandria, the powder diffractogram of Cs2PaTeO6 was computed for λ = 1.5418 Å (Cu Kα).
Kinematic intensities with the Lorentz-polarization factor, no thermal factor.

Structure:
Cell lengths 6.1029, 6.1029, 9.3968 Å; angles 90.00, 90.00, 90.00 degrees
Space group I4mm (No. 107)
Symmetry-distinct sites (fractional):
Cs  0.0000  0.5000  0.0000 [4 per cell]
Pa  0.0000  0.0000  0.2481 [2 per cell]
Te  0.0000  0.0000  0.7643 [2 per cell]
O  0.0000  0.0000  0.4589 [2 per cell]
O  0.0000  0.0000  0.9693 [2 per cell]
O  0.2440  0.2440  0.7457 [8 per cell]

Largest 10 diffraction maxima, in order of rising 2θ, 2θ = 10–90°:
(hkl)  2theta  Rel. int.
1 1 2  28.1  100
2 0 0  29.3  45
0 0 4  38.3  15
2 2 0  41.9  25
2 0 4  48.9  21
3 1 2  51.2  39
2 2 4  58.0  18
1 1 6  63.2  11
3 1 6  78.7  11
5 1 2  83.3  10

[13]
Starting from the GGA-PBE geometry in Alexandria, the powder diffractogram of Cs3ThPa2O9 was computed for λ = 1.5418 Å (Cu Kα).
Kinematic intensities with the Lorentz-polarization factor, no thermal factor.

Structure:
Cell lengths 6.3670, 6.3670, 7.7975 Å; angles 90.00, 90.00, 120.00 degrees
Space group P-3m1 (No. 164)
Symmetry-distinct sites (fractional):
Cs  0.0000  0.0000  0.0000 [1 per cell]
Cs  0.3333  0.6667  0.6661 [2 per cell]
Th  0.0000  0.0000  0.5000 [1 per cell]
Pa  0.3333  0.6667  0.1643 [2 per cell]
O  0.0000  0.5000  0.0000 [3 per cell]
O  0.1728  0.3455  0.3253 [6 per cell]

Largest 10 diffraction maxima, in order of rising 2θ, 2θ = 10–90°:
(hkl)  2theta  Rel. int.
1 0 1  19.7  13
1 1 0  28.0  100
2 0 2  40.1  28
2 1 1  45.0  6
3 0 0  49.6  43
2 2 0  57.9  18
3 0 3  61.8  3
3 1 2  65.6  19
0 4 2  72.8  6
4 1 0  79.7  23